Simulated PXRD pattern
Compound: AcLaPrIr
Radiation: Cu Kα (weighted mean of Kα1 and Kα2)
Structure: a crystal structure in Alexandria, relaxed with PBE
Neutral-atom scattering factors, no anomalous dispersion.

Structure:
Cell lengths 6.947, 4.013, 10.399 Å; angles 90.00, 102.80, 90.00 degrees
Space group Cm (No. 8)
Symmetry-distinct sites (fractional):
1 Ac 0.000 0.000 0.000 (multiplicity 2)
2 La 0.446 0.000 0.333 (multiplicity 2)
3 Pr 0.061 0.500 0.679 (multiplicity 2)
4 Ir 0.169 0.000 0.502 (multiplicity 2)

Peak list (10 most intense, 2θ = 10–90°, most intense first)
| two_theta | d_spacing | I_rel |
| --- | --- | --- |
| 33.0 | 2.714 | 100.0 |
| 26.3 | 3.386 | 94.6 |
| 29.6 | 3.017 | 71.1 |
| 45.2 | 2.006 | 61.4 |
| 41.7 | 2.164 | 43.9 |
| 17.5 | 5.070 | 29.3 |
| 53.1 | 1.726 | 26.7 |
| 28.2 | 3.160 | 23.4 |
| 57.1 | 1.613 | 21.3 |
| 55.0 | 1.670 | 20.6 |

=====

Simulated PXRD pattern
Compound: Sm2Y5Tm5
Radiation: Cu Kα (weighted mean of Kα1 and Kα2)
Structure: a crystal structure in Alexandria, relaxed with PBE
Neutral-atom scattering factors, no anomalous dispersion.

Structure:
Cell lengths 15.042, 5.014, 11.217 Å; angles 90.00, 116.54, 90.00 degrees
Space group C2/m (No. 12)
Symmetry-distinct sites (fractional):
1 Sm 0.083 0.000 0.248 (multiplicity 4)
2 Y 0.000 0.500 0.000 (multiplicity 2)
3 Y 0.085 0.500 0.751 (multiplicity 4)
4 Y 0.166 0.500 0.500 (multiplicity 4)
5 Tm 0.000 0.000 0.500 (multiplicity 2)
6 Tm 0.168 0.000 0.000 (multiplicity 4)
7 Tm 0.250 0.000 0.751 (multiplicity 4)

Peak list (10 most intense, 2θ = 10–90°, most intense first)
| two_theta | d_spacing | I_rel |
| --- | --- | --- |
| 30.9 | 2.895 | 100.0 |
| 35.8 | 2.508 | 50.4 |
| 61.3 | 1.512 | 42.0 |
| 51.5 | 1.773 | 35.5 |
| 84.1 | 1.151 | 17.3 |
| 86.9 | 1.121 | 16.2 |
| 64.3 | 1.448 | 12.1 |
| 18.9 | 4.699 | 6.1 |
| 75.9 | 1.254 | 5.6 |
| 23.8 | 3.733 | 1.3 |